# 1
Diffraction record for Ca5Nd. The powder diffraction line list is theoretical, not measured: it uses a cell relaxed with GGA-PBE and copper Kα.

Principal peaks in the range 5 to 70 degrees two-theta, low angle first:
h k l	2theta	I (rel.)
0 0 1	5.31	82
0 0 2	10.63	20
1 0 1	23.92	12
1 0 3	28.38	100
1 0 4	31.81	8
0 0 6	32.26	17
1 1 0	33.19	33
1 1 6	46.96	23
2 0 0	47.65	11
1 0 9	55.17	14
2 1 3	56.39	26
2 0 6	58.71	11

Crystal structure
```
data_Ca5Nd
_chemical_formula_sum 'Ca5 Nd1'
_cell_length_a 3.817
_cell_length_b 3.817
_cell_length_c 16.651
_cell_angle_alpha 90.00
_cell_angle_beta 90.00
_cell_angle_gamma 90.00
_symmetry_space_group_name_H-M 'P 4/m m m'
_symmetry_Int_Tables_number 123
_symmetry_space_group_name_Hall '-P 4 2'
loop_
_atom_site_label
_atom_site_fract_x
_atom_site_fract_y
_atom_site_fract_z
Ca1 0.000 0.000 0.000
Ca2 0.000 0.000 0.341
Ca3 0.500 0.500 0.170
Nd1 0.500 0.500 0.500
```


# 2
Diffraction record for UHg2Pd5. The powder diffraction line list is theoretical, not measured: it uses a cell relaxed with GGA-PBE and copper Kα.

Principal peaks in the range 5 to 70 degrees two-theta, low angle first:
h k l	2theta	I (rel.)
0 0 4	21.80	9
1 1 3	26.82	4
2 0 0	30.11	6
2 0 4	37.46	100
2 2 0	43.10	34
0 0 8	44.39	17
2 2 4	48.80	4
3 1 3	51.49	2
2 0 8	54.57	3
0 4 0	62.52	6
4 0 0	62.66	6
2 2 8	63.59	22

Crystal structure
```
data_UHg2Pd5
_chemical_formula_sum 'U4 Hg8 Pd20'
_cell_length_a 5.931
_cell_length_b 5.943
_cell_length_c 16.328
_cell_angle_alpha 90.00
_cell_angle_beta 90.00
_cell_angle_gamma 90.00
_symmetry_space_group_name_H-M 'F m m m'
_symmetry_Int_Tables_number 69
_symmetry_space_group_name_Hall '-F 2 2'
loop_
_atom_site_label
_atom_site_fract_x
_atom_site_fract_y
_atom_site_fract_z
U1 0.000 0.000 0.000
Hg1 0.000 0.000 0.255
Pd1 0.000 0.000 0.500
Pd2 0.250 0.250 0.119
```


# 3
Diffraction record for NdHo2Pb. The powder diffraction line list is theoretical, not measured: it uses a cell relaxed with GGA-PBE and copper Kα.

Principal peaks in the range 5 to 70 degrees two-theta, low angle first:
h k l	2theta	I (rel.)
0 0 1	9.50	8
1 0 2	31.18	100
1 1 0	34.84	38
1 0 3	38.09	4
0 0 4	38.67	13
2 0 0	50.09	14
1 1 4	53.02	21
2 1 2	60.19	31
1 1 5	61.43	2
2 1 3	64.62	2
2 0 4	65.02	11
1 0 6	65.35	10

Crystal structure
```
data_NdHo2Pb
_chemical_formula_sum 'Nd1 Ho2 Pb1'
_cell_length_a 3.642
_cell_length_b 3.642
_cell_length_c 9.313
_cell_angle_alpha 90.00
_cell_angle_beta 90.00
_cell_angle_gamma 90.00
_symmetry_space_group_name_H-M 'P 4/m m m'
_symmetry_Int_Tables_number 123
_symmetry_space_group_name_Hall '-P 4 2'
loop_
_atom_site_label
_atom_site_fract_x
_atom_site_fract_y
_atom_site_fract_z
Nd1 0.000 0.000 0.000
Ho1 0.500 0.500 0.270
Pb1 0.000 0.000 0.500
```


# 4
Diffraction record for Tb7DyHo3. The powder diffraction line list is theoretical, not measured: it uses a cell relaxed with GGA-PBE and copper Kα.

Principal peaks in the range 5 to 70 degrees two-theta, low angle first:
h k l	2theta	I (rel.)
0 1 2	25.15	13
2 1 0	31.88	100
2 1 -2	31.97	52
2 0 1	32.17	16
2 0 -3	32.29	17
0 2 0	32.44	53
0 1 3	33.31	55
2 2 -3	46.38	25
4 0 -2	52.67	16
2 3 0	57.52	20
0 3 3	58.42	15
4 2 -2	63.24	18

Crystal structure
```
data_Tb7DyHo3
_chemical_formula_sum 'Tb7 Dy1 Ho3'
_cell_length_a 6.951
_cell_length_b 5.519
_cell_length_c 9.859
_cell_angle_alpha 90.00
_cell_angle_beta 110.41
_cell_angle_gamma 90.00
_symmetry_space_group_name_H-M 'P 1 2/m 1'
_symmetry_Int_Tables_number 10
loop_
_symmetry_equiv_pos_as_xyz
'x,y,z'
'-x,-y,-z'
'-x,y,-z'
'x,-y,z'
loop_
_atom_site_label
_atom_site_fract_x
_atom_site_fract_y
_atom_site_fract_z
Tb1 0.000 0.000 0.000
Tb2 0.147 0.500 0.291
Tb3 0.321 0.500 0.641
Tb4 0.417 0.000 0.830
Dy1 0.000 0.000 0.500
Ho1 0.279 0.500 0.999
Ho2 0.500 0.000 0.500
```


# 5
Diffraction record for Mn2Ni13. The powder diffraction line list is theoretical, not measured: it uses a cell relaxed with GGA-PBE and copper Kα.

Principal peaks in the range 5 to 70 degrees two-theta, low angle first:
h k l	2theta	I (rel.)
0 0 3	15.25	44
1 0 1	16.54	81
0 2 1	32.19	44
1 0 7	39.57	16
2 1 1	42.78	43
0 1 8	44.59	44
0 0 9	46.92	17
2 1 4	47.53	100
0 2 7	48.82	24
1 2 5	50.21	48
0 3 3	51.12	49
2 0 8	53.15	18

Crystal structure
```
data_Mn2Ni13
_chemical_formula_sum 'Mn6 Ni39'
_cell_length_a 6.5050
_cell_length_b 6.5050
_cell_length_c 17.4296
_cell_angle_alpha 90.00
_cell_angle_beta 90.00
_cell_angle_gamma 120.00
_symmetry_space_group_name_H-M 'R -3 m'
_symmetry_Int_Tables_number 166
_symmetry_space_group_name_Hall '-R 3 2"'
loop_
_atom_site_label
_atom_site_fract_x
_atom_site_fract_y
_atom_site_fract_z
Mn1 0.0000 0.0000 0.2355
Ni1 0.0000 0.0000 0.0000
Ni2 0.0858 0.5429 0.3070
Ni3 0.0868 0.5434 0.5593
```


# 6
Diffraction record for TePS3. The powder diffraction line list is theoretical, not measured: it uses a cell relaxed with GGA-PBE and copper Kα.

Principal peaks in the range 5 to 70 degrees two-theta, low angle first:
h k l	2theta	I (rel.)
1 0 0	15.19	58
1 1 0	17.23	100
1 0 -2	18.36	27
0 2 1	19.40	57
1 1 -2	20.09	45
1 2 -2	24.60	27
1 3 -1	27.83	41
2 2 -2	31.11	36
1 1 2	33.31	26
2 2 -3	34.57	34
2 4 -1	42.62	34
3 1 -4	44.32	24

Crystal structure
```
data_TePS3
_chemical_formula_sum 'Te4 P4 S12'
_cell_length_a 6.890
_cell_length_b 10.921
_cell_length_c 9.895
_cell_angle_alpha 90.00
_cell_angle_beta 122.13
_cell_angle_gamma 90.00
_symmetry_space_group_name_H-M 'P 1 21/c 1'
_symmetry_Int_Tables_number 14
loop_
_symmetry_equiv_pos_as_xyz
'x,y,z'
'-x,-y,-z'
'-x,y+1/2,-z+1/2'
'x,-y+1/2,z+1/2'
loop_
_atom_site_label
_atom_site_fract_x
_atom_site_fract_y
_atom_site_fract_z
Te1 0.209 0.183 0.201
P1 0.057 0.082 0.458
S1 0.044 0.530 0.271
S2 0.130 0.733 0.044
S3 0.390 0.114 0.609
```